Entry 1:
The following is a computed powder diffractogram of Cu2Ag3. It was derived from DFT lattice parameters and positions (GGA-PBE), using Cu Kα (λ = 1.5418 Å).
Lines closer than 0.1° are merged.

Atomic structure:
```
data_Cu2Ag3
_cell_length_a 11.590
_cell_length_b 11.590
_cell_length_c 4.770
_cell_angle_alpha 97.57
_cell_angle_beta 97.57
_cell_angle_gamma 14.18
_space_group_name_H-M_alt 'P 1'
_space_group_IT_number 1
loop_
_space_group_symop_operation_xyz
'x,y,z'
loop_
_atom_site_label
_atom_site_type_symbol
_atom_site_fract_x
_atom_site_fract_y
_atom_site_fract_z
Cu1 Cu 0.054 0.054 0.348
Cu2 Cu 0.356 0.356 0.451
Cu3 Cu 0.644 0.644 0.549
Cu4 Cu 0.946 0.946 0.652
Ag1 Ag 0.148 0.148 0.061
Ag2 Ag 0.244 0.244 0.742
Ag3 Ag 0.455 0.455 0.176
Ag4 Ag 0.545 0.545 0.824
Ag5 Ag 0.756 0.756 0.258
Ag6 Ag 0.852 0.852 0.939
```

The 10 most intense peaks (2θ from 10° to 90°), sorted by position:
2theta	I_rel
39.28	35
39.47	100
44.77	47
47.94	18
65.24	7
67.51	12
67.85	10
78.70	8
78.87	8
79.03	14

***

Entry 2:
The following is a computed powder diffractogram of LuInTe3Pd. It was derived from DFT lattice parameters and positions (GGA-PBE), using Cu Kα (λ = 1.5418 Å).
Lines closer than 0.1° are merged.

Atomic structure:
```
data_LuInTe3Pd
_cell_length_a 7.915
_cell_length_b 7.915
_cell_length_c 10.744
_cell_angle_alpha 90.00
_cell_angle_beta 90.00
_cell_angle_gamma 150.44
_space_group_name_H-M_alt 'P 1'
_space_group_IT_number 1
loop_
_space_group_symop_operation_xyz
'x,y,z'
loop_
_atom_site_label
_atom_site_type_symbol
_atom_site_fract_x
_atom_site_fract_y
_atom_site_fract_z
Lu1 Lu 0.000 0.000 0.000
Lu2 Lu 0.000 0.000 0.500
In1 In 0.235 0.765 0.750
In2 In 0.765 0.235 0.250
Te1 Te 0.094 0.906 0.250
Te2 Te 0.358 0.642 0.061
Te3 Te 0.358 0.642 0.439
Te4 Te 0.642 0.358 0.561
Te5 Te 0.642 0.358 0.939
Te6 Te 0.906 0.094 0.750
Pd1 Pd 0.477 0.523 0.250
Pd2 Pd 0.523 0.477 0.750
```

The 10 most intense peaks (2θ from 10° to 90°), sorted by position:
2theta	I_rel
11.56	30
27.50	27
28.19	20
29.41	58
32.83	100
33.36	28
39.09	23
40.61	32
44.90	34
51.39	17

***

Entry 3:
The following is a computed powder diffractogram of LiSmSeO. It was derived from DFT lattice parameters and positions (GGA-PBE), using Cu Kα (λ = 1.5418 Å).
Lines closer than 0.1° are merged.

Atomic structure:
```
data_LiSmSeO
_cell_length_a 5.626
_cell_length_b 5.624
_cell_length_c 8.996
_cell_angle_alpha 90.00
_cell_angle_beta 90.19
_cell_angle_gamma 90.00
_space_group_name_H-M_alt 'P 1'
_space_group_IT_number 1
loop_
_space_group_symop_operation_xyz
'x,y,z'
loop_
_atom_site_label
_atom_site_type_symbol
_atom_site_fract_x
_atom_site_fract_y
_atom_site_fract_z
Li1 Li 0.249 0.000 0.000
Li2 Li 0.250 0.500 0.000
Li3 Li 0.750 0.000 0.000
Li4 Li 0.751 0.500 0.000
Sm1 Sm 0.001 0.745 0.629
Sm2 Sm 0.499 0.745 0.370
Sm3 Sm 0.501 0.245 0.630
Sm4 Sm 0.999 0.245 0.371
Se1 Se 0.001 0.749 0.176
Se2 Se 0.500 0.249 0.176
Se3 Se 0.500 0.749 0.824
Se4 Se 0.999 0.249 0.824
O1 O 0.250 0.495 0.500
O2 O 0.250 0.995 0.500
O3 O 0.750 0.495 0.500
O4 O 0.750 0.995 0.500
```

The 10 most intense peaks (2θ from 10° to 90°), sorted by position:
2theta	I_rel
29.99	100
31.82	40
37.56	14
40.09	6
45.61	21
52.10	13
55.51	18
55.60	17
66.48	7
75.60	7